# 1
For ZrNpSnO6, a cell relaxed with GGA-PBE gives the theoretical powder XRD pattern in this record (Cu Kα (weighted mean of Kα1 and Kα2)).

Cell and atoms:
```
data_ZrNpSnO6
_chemical_formula_sum 'Zr2 Np2 Sn2 O12'
_cell_length_a 5.6783
_cell_length_b 5.6783
_cell_length_c 10.1398
_cell_angle_alpha 90.00
_cell_angle_beta 90.00
_cell_angle_gamma 120.00
_symmetry_space_group_name_H-M 'P -3 1 c'
_symmetry_Int_Tables_number 163
_symmetry_space_group_name_Hall '-P 3 2c'
loop_
_atom_site_label
_atom_site_fract_x
_atom_site_fract_y
_atom_site_fract_z
Zr1 0.3333 0.6667 0.2500
Np1 0.3333 0.6667 0.7500
Sn1 0.0000 0.0000 0.0000
O1 0.0066 0.3700 0.6426
```

The 6 most intense peaks (2θ = 10–90°), low angle first:
20.07°, I 29.0, hkl 1 0 1; 25.23°, I 100.0, hkl 1 0 2; 31.51°, I 54.6, hkl 1 1 0; 40.79°, I 27.0, hkl 2 0 2; 48.12°, I 51.3, hkl 1 1 4; 52.43°, I 27.5, hkl 2 1 2

# 2
For Ba2SiH2, a cell relaxed with GGA-PBE gives the theoretical powder XRD pattern in this record (Cu Kα (weighted mean of Kα1 and Kα2)).

Cell and atoms:
```
data_Ba2SiH2
_chemical_formula_sum 'Ba4 Si2 H4'
_cell_length_a 4.0809
_cell_length_b 4.0809
_cell_length_c 15.3125
_cell_angle_alpha 90.00
_cell_angle_beta 90.00
_cell_angle_gamma 90.00
_symmetry_space_group_name_H-M 'I 4/m m m'
_symmetry_Int_Tables_number 139
_symmetry_space_group_name_Hall '-I 4 2'
loop_
_atom_site_label
_atom_site_fract_x
_atom_site_fract_y
_atom_site_fract_z
Ba1 0.0000 0.0000 0.1431
Si1 0.0000 0.0000 0.5000
H1 0.0000 0.5000 0.2500
```

The 6 most intense peaks (2θ = 10–90°), low angle first:
22.55°, I 42.6, hkl 1 0 1; 23.24°, I 22.8, hkl 0 0 4; 27.99°, I 100.0, hkl 1 0 3; 30.99°, I 44.9, hkl 1 1 0; 39.09°, I 25.2, hkl 1 1 4; 53.31°, I 32.3, hkl 2 1 3

# 3
For FeNi6Pt, a cell relaxed with GGA-PBE gives the theoretical powder XRD pattern in this record (Cu Kα (weighted mean of Kα1 and Kα2)).

Cell and atoms:
```
data_FeNi6Pt
_chemical_formula_sum 'Fe1 Ni6 Pt1'
_cell_length_a 5.1136
_cell_length_b 5.1136
_cell_length_c 4.1457
_cell_angle_alpha 90.00
_cell_angle_beta 90.00
_cell_angle_gamma 120.00
_symmetry_space_group_name_H-M 'P -6 m 2'
_symmetry_Int_Tables_number 187
_symmetry_space_group_name_Hall 'P -6 2'
loop_
_atom_site_label
_atom_site_fract_x
_atom_site_fract_y
_atom_site_fract_z
Fe1 0.0000 0.0000 0.0000
Ni1 0.0076 0.5038 0.0000
Ni2 0.1677 0.3354 0.5000
Pt1 0.6667 0.3333 0.5000
```

The 6 most intense peaks (2θ = 10–90°), low angle first:
20.05°, I 21.5, hkl 1 0 0; 29.51°, I 18.4, hkl 1 0 1; 40.75°, I 27.5, hkl 2 0 0; 43.67°, I 26.5, hkl 0 0 2; 46.50°, I 100.0, hkl 2 0 1; 82.23°, I 17.5, hkl 2 0 3